Diffraction record for GdNi12B6. The XRD peak list is theoretical, not measured: it uses a DFT-relaxed cell (PBE, OQMD) and CuKα.
No peak broadening, texture or thermal motion is included.

Cell and atoms:
Unit cell a=9.5693 b=7.3751 c=11.0042 alpha=90.00 beta=90.00 gamma=90.00
Space group Cmc2_1 (No. 36)
Asymmetric unit:
Gd 0.0000 0.1660 0.0000 x4
Ni 0.0000 0.2189 0.3972 x4
Ni 0.0000 0.4341 0.5775 x4
Ni 0.1306 0.3263 0.7625 x8
Ni 0.1308 0.3430 0.2210 x8
Ni 0.1319 0.0139 0.2406 x8
Ni 0.1831 0.1874 0.5592 x8
Ni 0.1940 0.4649 0.4286 x8
B 0.0000 0.1640 0.6584 x4
B 0.0000 0.4882 0.3420 x4
B 0.2064 0.1947 0.3735 x8
B 0.2150 0.4588 0.6118 x8

Top 10 peaks for 10° ≤ 2θ ≤ 80°, most intense first:
2θ = 41.32°, d 2.185, I 100.0
2θ = 41.14°, d 2.194, I 74.5
2θ = 39.40°, d 2.287, I 67.0
2θ = 31.66°, d 2.826, I 58.5
2θ = 34.74°, d 2.582, I 47.4
2θ = 43.96°, d 2.060, I 41.0
2θ = 49.69°, d 1.835, I 30.5
2θ = 32.55°, d 2.751, I 27.7
2θ = 61.39°, d 1.510, I 27.4
2θ = 58.03°, d 1.589, I 25.2